[1]
# AcP2Au8
Calculated X-ray powder pattern, λ = 1.5418 Å (Cu Kα). Input: DFT lattice parameters and positions (PBE).

The 10 most intense peaks (15° ≤ 2θ ≤ 90°), by angle:
two_theta, d (Å), I/Imax, hkl
19.7, 4.514, 39, 0 1 -1
29.9, 2.990, 82, 1 -1 1
30.0, 2.978, 66, 1 1 -2
33.6, 2.664, 70, 1 2 1
33.9, 2.646, 63, 1 -1 2
35.1, 2.558, 100, 0 1 3
37.3, 2.408, 60, 2 1 2
38.4, 2.344, 38, 1 1 -3
39.4, 2.289, 69, 2 0 -1
40.6, 2.222, 31, 2 2 1

Crystal structure
Cell: 5.3236 5.5695 8.9824 Å, 87.74 81.62 68.97°
Space group P-1 (No. 2)
Inequivalent atoms, fractional coordinates:
Ac (0.0000, 0.0000, 0.0000) [1 per cell]
P (0.1526, 0.7433, 0.6402) [2 per cell]
Au (0.1345, 0.4220, 0.1831) [2 per cell]
Au (0.1876, 0.8089, 0.3726) [2 per cell]
Au (0.4153, 0.9772, 0.7054) [2 per cell]
Au (0.4286, 0.3748, 0.8874) [2 per cell]

=====

[2]
# Ac4BiI5
Calculated X-ray powder pattern, λ = 1.5418 Å (Cu Kα). Input: DFT lattice parameters and positions (PBE).

The 10 most intense peaks (15° ≤ 2θ ≤ 90°), by angle:
two_theta, d (Å), I/Imax, hkl
26.7, 3.335, 100, 1 1 -2
27.0, 3.303, 50, 6 0 0
35.4, 2.535, 25, 2 0 -4
36.6, 2.455, 44, 5 1 2
40.0, 2.252, 32, 7 1 -2
40.7, 2.215, 17, 0 2 0
42.0, 2.151, 13, 4 0 4
49.6, 1.839, 20, 6 2 0
55.1, 1.668, 11, 2 2 -4
60.0, 1.542, 12, 4 2 4

Crystal structure
Cell: 19.9731 4.4292 10.2243 Å, 90.00 97.19 90.00°
Space group C2/m (No. 12)
Inequivalent atoms, fractional coordinates:
Ac (0.0042, 0.0000, 0.2373) [4 per cell]
Ac (0.1703, 0.5000, 0.0630) [4 per cell]
Bi (0.0000, 0.5000, 0.0000) [2 per cell]
I (0.0000, 0.5000, 0.5000) [2 per cell]
I (0.1643, 0.0000, 0.7985) [4 per cell]
I (0.1705, 0.0000, 0.3207) [4 per cell]

=====

[3]
# K2NaHg2
Calculated X-ray powder pattern, λ = 1.5418 Å (Cu Kα). Input: DFT lattice parameters and positions (PBE).

The 10 most intense peaks (15° ≤ 2θ ≤ 90°), by angle:
two_theta, d (Å), I/Imax, hkl
16.8, 5.290, 70, 2 0 0
19.5, 4.561, 100, 0 0 1
27.4, 3.253, 24, 1 1 1
30.2, 2.957, 48, 2 2 0
30.9, 2.897, 26, 2 0 1
31.0, 2.887, 25, 4 0 -1
31.9, 2.809, 84, 0 2 1
33.9, 2.645, 22, 4 0 0
35.5, 2.527, 24, 2 0 -2
40.1, 2.246, 29, 2 2 1

Crystal structure
Cell: 11.7085 7.1320 5.0550 Å, 90.00 115.36 90.00°
Space group C2/m (No. 12)
Inequivalent atoms, fractional coordinates:
K (0.2055, 0.0000, 0.2055) [4 per cell]
Na (0.0000, 0.5000, 0.0000) [2 per cell]
Hg (0.0000, 0.2160, 0.5000) [4 per cell]

=====

[4]
# Li4As2Au5
Calculated X-ray powder pattern, λ = 1.5418 Å (Cu Kα). Input: DFT lattice parameters and positions (PBE).

The 10 most intense peaks (15° ≤ 2θ ≤ 90°), by angle:
two_theta, d (Å), I/Imax, hkl
22.8, 3.896, 20, 1 0 -2
26.0, 3.432, 51, 1 0 2
28.9, 3.085, 100, 0 1 0
35.6, 2.520, 34, 1 0 3
38.0, 2.369, 30, 2 0 -3
39.3, 2.294, 52, 3 0 -1
39.4, 2.288, 29, 3 0 0
46.5, 1.952, 32, 1 1 3
48.4, 1.879, 30, 2 1 -3
49.6, 1.838, 41, 3 1 0

Crystal structure
Cell: 6.9331 3.0853 8.6792 Å, 90.00 98.08 90.00°
Space group P2/m (No. 10)
Inequivalent atoms, fractional coordinates:
Li (0.1938, 0.0000, 0.3930) [2 per cell]
Li (0.2571, 0.0000, 0.9281) [2 per cell]
As (0.0839, 0.5000, 0.1475) [2 per cell]
Au (0.1562, 0.5000, 0.6411) [2 per cell]
Au (0.4663, 0.5000, 0.1693) [2 per cell]
Au (0.5000, 0.5000, 0.5000) [1 per cell]

=====

[5]
# NaSr2N
Calculated X-ray powder pattern, λ = 1.5418 Å (Cu Kα). Input: DFT lattice parameters and positions (PBE).

The 10 most intense peaks (15° ≤ 2θ ≤ 90°), by angle:
two_theta, d (Å), I/Imax, hkl
26.7, 3.342, 41, 0 0 9
27.4, 3.255, 61, 0 1 2
29.3, 3.048, 76, 1 0 4
30.7, 2.916, 100, 0 1 5
34.0, 2.634, 68, 1 0 7
40.4, 2.233, 41, 1 0 10
47.2, 1.925, 44, 1 1 0
48.1, 1.890, 20, 1 1 3
50.5, 1.806, 35, 0 1 14
55.1, 1.668, 33, 1 1 9

Crystal structure
Cell: 3.8497 3.8497 30.0803 Å, 90.00 90.00 120.00°
Space group R-3m (No. 166, hexagonal axes)
Inequivalent atoms, fractional coordinates:
Na (0.0000, 0.0000, 0.0000) [3 per cell]
Sr (0.0000, 0.0000, 0.2124) [6 per cell]
N (0.0000, 0.0000, 0.5000) [3 per cell]

=====

[6]
# UO2F4
Calculated X-ray powder pattern, λ = 1.5418 Å (Cu Kα). Input: DFT lattice parameters and positions (PBE).

The 10 most intense peaks (15° ≤ 2θ ≤ 90°), by angle:
two_theta, d (Å), I/Imax, hkl
22.6, 3.928, 46, 0 0 2
23.5, 3.789, 62, 0 1 0
23.7, 3.762, 100, 1 0 1
28.3, 3.153, 32, 0 1 -1
28.4, 3.139, 32, 1 0 -1
28.8, 3.099, 38, 0 1 2
32.6, 2.750, 18, 1 -1 0
46.7, 1.945, 23, 0 2 1
48.1, 1.892, 18, 2 0 0
53.0, 1.728, 18, 2 -1 1

Crystal structure
Cell: 3.8881 3.8916 8.2673 Å, 77.48 77.05 90.00°
Space group P-1 (No. 2)
Inequivalent atoms, fractional coordinates:
U (0.0000, 0.0000, 0.0000) [1 per cell]
O (0.3879, 0.3856, 0.5031) [2 per cell]
F (0.0699, 0.5714, 0.8443) [2 per cell]
F (0.4268, 0.9307, 0.1558) [2 per cell]